Record 1
This entry pairs a crystal structure of CaPrAg2 with its theoretical powder diffractogram. Radiation: Cu Kα. Structure: DFT lattice parameters and positions (PBE).
No peak broadening, texture or thermal motion is included.

Cell: 5.297 5.297 5.297 Å, 60.00 60.00 60.00°
Fractional positions:
Ca 0.000 0.000 0.000
Pr 0.500 0.500 0.500
Ag 0.250 0.250 0.250
Ag 0.750 0.750 0.750

Main lines, most intense first (2θ = 10–80°):
2θ 33.84, I 100.0; 2θ 60.55, I 35.1; 2θ 48.61, I 17.4; 2θ 20.53, I 13.4; 2θ 71.20, I 10.7; 2θ 39.91, I 7.6; 2θ 53.30, I 3.4; 2θ 64.65, I 2.6; 2θ 75.00, I 2.5; 2θ 23.75, I 1.2

***

Record 2
This entry pairs a crystal structure of Ca2AgRh with its theoretical powder diffractogram. Radiation: Cu Kα. Structure: DFT lattice parameters and positions (PBE).
No peak broadening, texture or thermal motion is included.

Cell: 5.046 5.046 5.046 Å, 60.00 60.00 60.00°
Fractional positions:
Ca 0.250 0.250 0.250
Ca 0.750 0.750 0.750
Ag 0.000 0.000 0.000
Rh 0.500 0.500 0.500

Main lines, most intense first (2θ = 10–80°):
2θ 35.58, I 100.0; 2θ 63.90, I 33.2; 2θ 24.95, I 24.2; 2θ 51.20, I 16.8; 2θ 75.34, I 10.0; 2θ 57.78, I 9.7; 2θ 43.95, I 7.3

***

Record 3
This entry pairs a crystal structure of CaAgSb with its theoretical powder diffractogram. Radiation: Cu Kα. Structure: DFT lattice parameters and positions (PBE).
No peak broadening, texture or thermal motion is included.

Cell: 7.747 4.626 8.525 Å, 90.00 90.00 90.00°
Fractional positions:
Ca 0.021 0.250 0.193
Ca 0.479 0.750 0.693
Ca 0.521 0.250 0.307
Ca 0.979 0.750 0.807
Ag 0.142 0.250 0.564
Ag 0.358 0.750 0.064
Ag 0.642 0.250 0.936
Ag 0.858 0.750 0.436
Sb 0.242 0.750 0.385
Sb 0.258 0.250 0.885
Sb 0.742 0.750 0.115
Sb 0.758 0.250 0.615

Main lines, most intense first (2θ = 10–80°):
2θ 38.95, I 100.0; 2θ 37.13, I 98.4; 2θ 31.91, I 94.4; 2θ 21.86, I 52.5; 2θ 15.45, I 49.8; 2θ 41.42, I 48.9; 2θ 30.77, I 46.2; 2θ 30.09, I 41.4; 2θ 40.86, I 40.7; 2θ 22.96, I 34.9

***

Record 4
This entry pairs a crystal structure of CaSmAg2 with its theoretical powder diffractogram. Radiation: Cu Kα. Structure: DFT lattice parameters and positions (PBE).
No peak broadening, texture or thermal motion is included.

Cell: 5.237 5.237 5.237 Å, 60.00 60.00 60.00°
Fractional positions:
Ca 0.000 0.000 0.000
Sm 0.500 0.500 0.500
Ag 0.250 0.250 0.250
Ag 0.750 0.750 0.750

Main lines, most intense first (2θ = 10–80°):
2θ 34.24, I 100.0; 2θ 61.32, I 35.0; 2θ 49.21, I 17.4; 2θ 20.77, I 15.0; 2θ 72.15, I 10.7; 2θ 40.39, I 8.5; 2θ 53.96, I 3.8; 2θ 65.48, I 2.9; 2θ 76.02, I 2.9; 2θ 24.03, I 0.8

***

Record 5
This entry pairs a crystal structure of CaAg2Sn with its theoretical powder diffractogram. Radiation: Cu Kα. Structure: DFT lattice parameters and positions (PBE).
No peak broadening, texture or thermal motion is included.

Cell: 5.013 5.013 5.013 Å, 60.00 60.00 60.00°
Fractional positions:
Ca 0.000 0.000 0.000
Ag 0.250 0.250 0.250
Ag 0.750 0.750 0.750
Sn 0.500 0.500 0.500

Main lines, most intense first (2θ = 10–80°):
2θ 35.83, I 100.0; 2θ 64.38, I 34.4; 2θ 51.57, I 17.1; 2θ 75.92, I 10.7; 2θ 21.71, I 9.2; 2θ 42.28, I 5.5; 2θ 25.12, I 3.2; 2θ 56.59, I 2.5; 2θ 68.81, I 2.0; 2θ 58.20, I 0.9

***

Record 6
This entry pairs a crystal structure of SrCa3Ag4 with its theoretical powder diffractogram. Radiation: Cu Kα. Structure: DFT lattice parameters and positions (PBE).
No peak broadening, texture or thermal motion is included.

Cell: 4.131 4.823 11.499 Å, 90.00 90.00 90.00°
Fractional positions:
Sr 0.000 0.000 0.000
Ca 0.000 0.500 0.290
Ca 0.500 0.000 0.505
Ca 0.500 0.500 0.777
Ag 0.000 0.000 0.711
Ag 0.000 0.500 0.569
Ag 0.500 0.000 0.227
Ag 0.500 0.500 0.077

Main lines, most intense first (2θ = 10–80°):
2θ 37.03, I 100.0; 2θ 29.51, I 86.7; 2θ 36.38, I 48.2; 2θ 22.87, I 43.7; 2θ 15.41, I 40.4; 2θ 37.29, I 37.3; 2θ 43.83, I 23.1; 2θ 58.23, I 23.0; 2θ 31.85, I 20.0; 2θ 58.87, I 18.3

***

Record 7
This entry pairs a crystal structure of CaZnAg with its theoretical powder diffractogram. Radiation: Cu Kα. Structure: DFT lattice parameters and positions (PBE).
No peak broadening, texture or thermal motion is included.

Cell: 5.840 5.840 7.354 Å, 128.08 128.08 47.03°
Fractional positions:
Ca 0.048 0.048 0.300
Ca 0.952 0.952 0.700
Zn 0.341 0.341 0.895
Zn 0.659 0.659 0.105
Ag 0.330 0.330 0.269
Ag 0.670 0.670 0.731

Main lines, most intense first (2θ = 10–80°):
2θ 39.20, I 100.0; 2θ 38.65, I 89.8; 2θ 33.19, I 71.1; 2θ 32.89, I 52.8; 2θ 31.88, I 49.4; 2θ 24.21, I 35.9; 2θ 16.60, I 33.9; 2θ 38.23, I 28.9; 2θ 22.13, I 26.6; 2θ 47.44, I 20.9

***

Record 8
This entry pairs a crystal structure of Ca4ZnAg3 with its theoretical powder diffractogram. Radiation: Cu Kα. Structure: DFT lattice parameters and positions (PBE).
No peak broadening, texture or thermal motion is included.

Cell: 4.072 4.668 11.424 Å, 90.00 90.00 90.00°
Fractional positions:
Ca 0.000 0.000 0.000
Ca 0.000 0.500 0.284
Ca 0.500 0.000 0.499
Ca 0.500 0.500 0.786
Zn 0.500 0.500 0.072
Ag 0.000 0.000 0.717
Ag 0.000 0.500 0.567
Ag 0.500 0.000 0.212

Main lines, most intense first (2θ = 10–80°):
2θ 37.65, I 100.0; 2θ 30.16, I 81.6; 2θ 23.19, I 53.5; 2θ 36.89, I 51.8; 2θ 15.51, I 46.0; 2θ 38.57, I 35.1; 2θ 45.50, I 24.9; 2θ 59.14, I 24.2; 2θ 44.50, I 22.5; 2θ 61.17, I 21.6